# Tb2Rh3Pb2
Theoretical XRD peak list, Cu Ka. Input: a structure optimized by DFT (PBE).

```
Tb2Rh3Pb2
1.0
-4.2881 4.2881 4.2881
4.2881 -4.2881 4.2881
4.2881 4.2881 -4.2881
Tb Rh Pb
4 6 4
Direct
0.0000 0.4620 0.5000 Tb
0.0380 0.0380 0.0380 Tb
0.4620 0.5000 0.0000 Tb
0.5000 0.0000 0.4620 Tb
0.0053 0.2553 0.7500 Rh
0.2447 0.2500 0.4947 Rh
0.2500 0.4947 0.2447 Rh
0.2553 0.7500 0.0053 Rh
0.4947 0.2447 0.2500 Rh
0.7500 0.0053 0.2553 Rh
0.0000 0.8815 0.5000 Pb
0.5000 0.0000 0.8815 Pb
0.6185 0.6185 0.6185 Pb
0.8815 0.5000 0.0000 Pb
```

Main lines, in order of falling intensity (10° ≤ 2θ ≤ 80°):
2θ = 39.3°, rel. 100
2θ = 33.0°, rel. 98
2θ = 29.5°, rel. 98
2θ = 54.6°, rel. 50
2θ = 36.3°, rel. 47
2θ = 42.1°, rel. 44
2θ = 73.2°, rel. 41
2θ = 49.9°, rel. 35